1.
This entry pairs a crystal structure of Ag8SnS6 with its calculated powder XRD pattern. Radiation: Cu Kα (weighted mean of Kα1 and Kα2). Structure: the PBE geometry in the Materials Project.
Intensities are scaled so that the largest is 100.

Peak list (6 most intense, 2θ = 5–70°, by angle)
2theta, I/Imax
27.05, 31
28.35, 100
32.32, 31
33.36, 21
35.89, 36
47.15, 34

Atomic structure:
abc: 15.4873 7.7081 10.8842
angles: 90.00 90.00 90.00
Space group Pna2_1 (No. 33)
Unique sites:
Ag 0.0205 0.0199 0.0000 (multiplicity 4)
Ag 0.0608 0.2349 0.2199 (multiplicity 4)
Ag 0.0649 0.5664 0.9055 (multiplicity 4)
Ag 0.0904 0.6038 0.5809 (multiplicity 4)
Ag 0.1289 0.2716 0.7606 (multiplicity 4)
Ag 0.2275 0.0096 0.9861 (multiplicity 4)
Ag 0.2266 0.8765 0.5775 (multiplicity 4)
Ag 0.2397 0.6381 0.8014 (multiplicity 4)
Sn 0.1250 0.7346 0.2361 (multiplicity 4)
S 0.0010 0.2682 0.6053 (multiplicity 4)
S 0.1117 0.8091 0.7522 (multiplicity 4)
S 0.1207 0.4837 0.3695 (multiplicity 4)
S 0.1249 0.2684 0.9931 (multiplicity 4)
S 0.1268 0.9898 0.3669 (multiplicity 4)
S 0.2490 0.2245 0.6067 (multiplicity 4)

2.
This entry pairs a crystal structure of MnCdTe2 with its calculated powder XRD pattern. Radiation: Cu Kα (weighted mean of Kα1 and Kα2). Structure: the PBE geometry in the Materials Project.
Intensities are scaled so that the largest is 100.

Peak list (6 most intense, 2θ = 5–70°, by angle)
2theta, I/Imax
29.71, 51
29.86, 100
42.63, 74
42.74, 37
52.92, 39
62.04, 12

Atomic structure:
abc: 4.2312 4.2312 6.0143
angles: 90.00 90.00 90.00
Space group P4/mmm (No. 123)
Unique sites:
Mn 0.0000 0.0000 0.0000 (multiplicity 1)
Cd 0.5000 0.5000 0.5000 (multiplicity 1)
Te 0.0000 0.0000 0.5000 (multiplicity 1)
Te 0.5000 0.5000 0.0000 (multiplicity 1)

3.
This entry pairs a crystal structure of SrSi2Ag2 with its calculated powder XRD pattern. Radiation: Cu Kα (weighted mean of Kα1 and Kα2). Structure: the PBE geometry in the Materials Project.
Intensities are scaled so that the largest is 100.

Peak list (6 most intense, 2θ = 5–70°, by angle)
2theta, I/Imax
16.78, 20
33.31, 100
33.92, 15
40.85, 37
54.11, 15
69.60, 22

Atomic structure:
abc: 4.4186 4.4186 10.5698
angles: 90.00 90.00 90.00
Space group I4/mmm (No. 139)
Unique sites:
Sr 0.0000 0.0000 0.0000 (multiplicity 2)
Si 0.0000 0.0000 0.3891 (multiplicity 4)
Ag 0.0000 0.5000 0.2500 (multiplicity 4)

4.
This entry pairs a crystal structure of LiFe6Ge6 with its calculated powder XRD pattern. Radiation: Cu Kα (weighted mean of Kα1 and Kα2). Structure: the PBE geometry in the Materials Project.
Intensities are scaled so that the largest is 100.

Peak list (6 most intense, 2θ = 5–70°, by angle)
2theta, I/Imax
20.41, 20
35.75, 51
41.51, 34
42.51, 56
47.59, 100
50.25, 33

Atomic structure:
abc: 8.7010 8.7010 7.9928
angles: 90.00 90.00 120.00
Space group P6/mmm (No. 191)
Unique sites:
Li 0.0000 0.0000 0.0000 (multiplicity 1)
Li 0.3333 0.6667 0.5000 (multiplicity 2)
Fe 0.0000 0.5000 0.2471 (multiplicity 6)
Fe 0.1669 0.3337 0.2517 (multiplicity 12)
Ge 0.0000 0.0000 0.3381 (multiplicity 2)
Ge 0.0000 0.3286 0.0000 (multiplicity 6)
Ge 0.0000 0.3386 0.5000 (multiplicity 6)
Ge 0.3333 0.6667 0.1630 (multiplicity 4)

5.
This entry pairs a crystal structure of Na2Ta4O11 with its calculated powder XRD pattern. Radiation: Cu Kα (weighted mean of Kα1 and Kα2). Structure: the PBE geometry in the Materials Project.
Intensities are scaled so that the largest is 100.

Peak list (6 most intense, 2θ = 5–70°, by angle)
2theta, I/Imax
14.34, 55
17.01, 50
28.92, 50
29.38, 100
32.00, 82
59.14, 35

Atomic structure:
abc: 6.2740 6.2740 37.0531
angles: 90.00 90.00 120.00
Space group R-3c (No. 167, hexagonal axes)
Unique sites:
Na 0.0000 0.0000 0.1655 (multiplicity 12)
Ta 0.0000 0.0000 0.0000 (multiplicity 6)
Ta 0.0000 0.3627 0.2500 (multiplicity 18)
O 0.0000 0.0000 0.0939 (multiplicity 12)
O 0.0000 0.2472 0.7500 (multiplicity 18)
O 0.0314 0.2765 0.5308 (multiplicity 36)

6.
This entry pairs a crystal structure of EuP3O9 with its calculated powder XRD pattern. Radiation: Cu Kα (weighted mean of Kα1 and Kα2). Structure: the PBE geometry in the Materials Project.
Intensities are scaled so that the largest is 100.

Peak list (6 most intense, 2θ = 5–70°, by angle)
2theta, I/Imax
15.58, 79
17.54, 43
23.75, 44
23.96, 100
25.63, 75
28.53, 60

Atomic structure:
abc: 8.6778 11.3780 7.4281
angles: 90.00 90.00 90.00
Space group C222_1 (No. 20)
Unique sites:
Eu 0.1264 0.0000 0.0000 (multiplicity 4)
P 0.0079 0.3258 0.5468 (multiplicity 8)
P 0.2487 0.0000 0.5000 (multiplicity 4)
O 0.0000 0.3737 0.7500 (multiplicity 4)
O 0.0202 0.1964 0.9620 (multiplicity 8)
O 0.1382 0.3921 0.0416 (multiplicity 8)
O 0.1525 0.0177 0.3325 (multiplicity 8)
O 0.1521 0.3742 0.4631 (multiplicity 8)

7.
This entry pairs a crystal structure of Sr3P with its calculated powder XRD pattern. Radiation: Cu Kα (weighted mean of Kα1 and Kα2). Structure: the PBE geometry in the Materials Project.
Intensities are scaled so that the largest is 100.

Peak list (6 most intense, 2θ = 5–70°, by angle)
2theta, I/Imax
27.34, 25
31.92, 100
32.68, 22
48.32, 19
57.85, 18
59.56, 20

Atomic structure:
abc: 7.5341 7.5341 5.4805
angles: 90.00 90.00 120.00
Space group P6_3/mmc (No. 194)
Unique sites:
Sr 0.1793 0.3586 0.2500 (multiplicity 6)
P 0.3333 0.6667 0.7500 (multiplicity 2)

8.
This entry pairs a crystal structure of Zr2TcNi with its calculated powder XRD pattern. Radiation: Cu Kα (weighted mean of Kα1 and Kα2). Structure: the PBE geometry in the Materials Project.
Intensities are scaled so that the largest is 100.

Peak list (5 most intense, 2θ = 5–70°, by angle)
2theta, I/Imax
23.58, 3
38.99, 100
46.07, 1
56.32, 17
61.89, 1

Atomic structure:
abc: 6.5346 6.5346 6.5346
angles: 90.00 90.00 90.00
Space group Fm-3m (No. 225)
Unique sites:
Zr 0.2500 0.2500 0.2500 (multiplicity 8)
Tc 0.0000 0.0000 0.0000 (multiplicity 4)
Ni 0.0000 0.0000 0.5000 (multiplicity 4)